(1)
Structure and theoretical powder XRD pattern of Pr6Dy16Th7 (a DFT-relaxed cell (GGA-PBE, Alexandria); CuKα).
Peak positions follow from Bragg's law for the DFT cell and can differ from measured ones.

Main lines, sorted by position (10° ≤ 2θ ≤ 90°):
Position (°2θ)  I (rel.)
11.06  68
27.31  65
29.00  67
31.63  1000
33.13  92
35.49  67
45.35  135
52.08  64
56.34  278
57.30  60
66.07  83
75.10  78

abc: 15.999 15.999 15.999
angles: 90.00 90.00 90.00
Space group Fm-3m (No. 225)
Inequivalent atoms, fractional coordinates:
Pr  0.000  0.000  0.239 (multiplicity 24)
Dy  0.129  0.129  0.371 (multiplicity 32)
Dy  0.155  0.155  0.155 (multiplicity 32)
Th  0.000  0.000  0.500 (multiplicity 4)
Th  0.000  0.250  0.250 (multiplicity 24)

***

(2)
Structure and theoretical powder XRD pattern of Pr2Dy4Th5 (a DFT-relaxed cell (GGA-PBE, Alexandria); CuKα).
Peak positions follow from Bragg's law for the DFT cell and can differ from measured ones.

Main lines, sorted by position (10° ≤ 2θ ≤ 90°):
Position (°2θ)  I (rel.)
25.59  298
29.85  411
30.78  1000
31.19  530
31.40  990
31.66  956
31.93  416
34.02  350
52.58  313
56.60  291
62.55  284
62.70  278

abc: 8.850 3.480 11.772
angles: 90.00 94.24 90.00
Space group P2/m (No. 10)
Inequivalent atoms, fractional coordinates:
Pr  0.054  0.000  0.136 (multiplicity 2)
Dy  0.160  0.500  0.407 (multiplicity 2)
Dy  0.308  0.500  0.944 (multiplicity 2)
Th  0.206  0.000  0.675 (multiplicity 2)
Th  0.422  0.000  0.214 (multiplicity 2)
Th  0.500  0.000  0.500 (multiplicity 1)

***

(3)
Structure and theoretical powder XRD pattern of Pr5DyY2Th (a DFT-relaxed cell (GGA-PBE, Alexandria); CuKα).
Peak positions follow from Bragg's law for the DFT cell and can differ from measured ones.

Main lines, sorted by position (10° ≤ 2θ ≤ 90°):
Position (°2θ)  I (rel.)
11.58  89
26.35  111
30.26  192
31.09  1000
32.44  163
32.77  380
33.59  185
33.83  84
47.63  184
57.46  175
58.51  89
60.08  98

abc: 5.465 21.878 10.672
angles: 90.00 90.00 90.00
Space group Cmcm (No. 63)
Inequivalent atoms, fractional coordinates:
Pr  0.000  0.000  0.000 (multiplicity 4)
Pr  0.000  0.125  0.250 (multiplicity 4)
Pr  0.000  0.222  0.557 (multiplicity 8)
Pr  0.000  0.498  0.750 (multiplicity 4)
Dy  0.000  0.102  0.750 (multiplicity 4)
Y  0.000  0.387  0.005 (multiplicity 8)
Th  0.000  0.286  0.250 (multiplicity 4)

***

(4)
Structure and theoretical powder XRD pattern of Pr2Dy3Tl (a DFT-relaxed cell (GGA-PBE, Alexandria); CuKα).
Peak positions follow from Bragg's law for the DFT cell and can differ from measured ones.

Main lines, sorted by position (10° ≤ 2θ ≤ 90°):
Position (°2θ)  I (rel.)
30.92  1000
34.00  169
34.70  220
35.60  90
38.70  112
49.36  133
52.44  63
52.94  92
58.93  81
59.85  170
62.20  72
64.43  74

abc: 5.170 9.308 15.822
angles: 90.00 90.00 90.00
Space group Imma (No. 74)
Inequivalent atoms, fractional coordinates:
Pr  0.000  0.250  0.027 (multiplicity 4)
Pr  0.000  0.250  0.325 (multiplicity 4)
Dy  0.000  0.000  0.500 (multiplicity 4)
Dy  0.000  0.043  0.829 (multiplicity 8)
Tl  0.000  0.250  0.645 (multiplicity 4)

***

(5)
Structure and theoretical powder XRD pattern of Pr7DyTl2 (a DFT-relaxed cell (GGA-PBE, Alexandria); CuKα).
Peak positions follow from Bragg's law for the DFT cell and can differ from measured ones.

Main lines, sorted by position (10° ≤ 2θ ≤ 90°):
Position (°2θ)  I (rel.)
10.85  203
16.35  517
18.76  330
19.65  308
27.39  388
28.91  674
33.05  524
33.34  686
33.46  1000
44.48  488
58.97  276
59.26  349

abc: 9.459 16.291 5.420
angles: 90.00 90.00 90.00
Space group Cmmm (No. 65)
Inequivalent atoms, fractional coordinates:
Pr  0.000  0.000  0.000 (multiplicity 2)
Pr  0.000  0.278  0.500 (multiplicity 4)
Pr  0.182  0.381  0.000 (multiplicity 8)
Dy  0.000  0.500  0.500 (multiplicity 2)
Tl  0.000  0.193  0.000 (multiplicity 4)

***

(6)
Structure and theoretical powder XRD pattern of Pr2DyTl (a DFT-relaxed cell (GGA-PBE, Alexandria); CuKα).
Peak positions follow from Bragg's law for the DFT cell and can differ from measured ones.

Main lines, sorted by position (10° ≤ 2θ ≤ 90°):
Position (°2θ)  I (rel.)
29.57  941
29.85  337
32.26  376
32.97  1000
33.84  802
34.03  424
52.64  449
54.07  189
59.88  175
62.01  232
63.17  200
64.60  265

abc: 6.892 8.834 8.280
angles: 90.00 90.00 90.00
Space group Imma (No. 74)
Inequivalent atoms, fractional coordinates:
Pr  0.250  0.048  0.250 (multiplicity 8)
Dy  0.000  0.250  0.567 (multiplicity 4)
Tl  0.000  0.250  0.948 (multiplicity 4)

***

(7)
Structure and theoretical powder XRD pattern of Pr5DyTl6 (a DFT-relaxed cell (GGA-PBE, Alexandria); CuKα).
Peak positions follow from Bragg's law for the DFT cell and can differ from measured ones.

Main lines, sorted by position (10° ≤ 2θ ≤ 90°):
Position (°2θ)  I (rel.)
22.71  19
32.38  1000
46.38  124
46.60  60
57.72  257
57.86  126
67.68  40
67.86  78
77.03  110
77.39  52
86.15  31
86.22  11

abc: 9.557 16.612 5.538
angles: 90.00 125.35 90.00
Space group C2/m (No. 12)
Inequivalent atoms, fractional coordinates:
Pr  0.000  0.000  0.000 (multiplicity 2)
Pr  0.000  0.165  0.500 (multiplicity 4)
Pr  0.000  0.328  0.000 (multiplicity 4)
Dy  0.000  0.500  0.500 (multiplicity 2)
Tl  0.237  0.500  0.238 (multiplicity 4)
Tl  0.243  0.337  0.743 (multiplicity 8)

***

(8)
Structure and theoretical powder XRD pattern of Pr3Dy4Tl4 (a DFT-relaxed cell (GGA-PBE, Alexandria); CuKα).
Peak positions follow from Bragg's law for the DFT cell and can differ from measured ones.

Main lines, sorted by position (10° ≤ 2θ ≤ 90°):
Position (°2θ)  I (rel.)
23.82  197
29.92  490
31.00  933
33.27  1000
33.95  519
39.38  187
45.88  305
48.45  208
58.96  231
60.04  373
60.32  203
60.48  199

abc: 3.758 5.281 34.432
angles: 90.00 90.00 90.00
Space group Immm (No. 71)
Inequivalent atoms, fractional coordinates:
Pr  0.000  0.000  0.000 (multiplicity 2)
Pr  0.000  0.500  0.143 (multiplicity 4)
Dy  0.000  0.000  0.265 (multiplicity 4)
Dy  0.000  0.500  0.407 (multiplicity 4)
Tl  0.000  0.000  0.453 (multiplicity 4)
Tl  0.000  0.500  0.316 (multiplicity 4)